1.
Structure and theoretical X-ray diffraction stick pattern of V6O13 (a PBE+U-relaxed structure; Cu Kα, 1.54184 Å).
Peak positions follow from Bragg's law for the DFT cell and can differ from measured ones.

Main lines, in order of rising 2θ (5° ≤ 2θ ≤ 70°):
index, 2θ/deg, I (rel.)
1 0 0, 8.78, 23
0 0 2, 14.83, 40
2 0 0, 17.60, 29
0 1 1, 24.85, 100
3 0 0, 26.54, 72
1 0 -4, 29.54, 37
1 1 -3, 32.81, 42
3 1 -1, 35.61, 18
1 0 -6, 44.69, 32
5 0 0, 44.98, 29
0 2 0, 48.49, 37
1 1 -7, 58.52, 23

Atomic structure:
```
data_V6O13
_symmetry_space_group_name_H-M 'P 1 21/c 1'
_symmetry_Int_Tables_number 14
_symmetry_space_group_name_Hall '-P 2ybc'
_cell_length_a 10.2590
_cell_length_b 3.7551
_cell_length_c 12.1682
_cell_angle_alpha 90.00
_cell_angle_beta 100.84
_cell_angle_gamma 90.00
loop_
_atom_site_label
_atom_site_fract_x
_atom_site_fract_y
_atom_site_fract_z
V1 0.0035 0.0330 0.1486
V2 0.3642 0.5021 0.4132
V3 0.3664 0.0016 0.2148
O1 0.0000 0.0000 0.0000
O2 0.9999 0.0106 0.3167
O3 0.1984 0.0079 0.1776
O4 0.1983 0.5067 0.3861
O5 0.3864 0.0016 0.3815
O6 0.4088 0.0004 0.0603
O7 0.4116 0.5014 0.2541
```


2.
Structure and theoretical X-ray diffraction stick pattern of VO2 (a PBE+U-relaxed structure; Cu Kα, 1.54184 Å).
Peak positions follow from Bragg's law for the DFT cell and can differ from measured ones.

Main lines, in order of rising 2θ (5° ≤ 2θ ≤ 70°):
index, 2θ/deg, I (rel.)
0 1 1, 20.27, 100
0 1 2, 25.88, 8
0 1 3, 33.30, 29
1 0 -2, 35.03, 13
0 2 0, 36.51, 11
1 1 1, 37.32, 16
1 1 -2, 39.67, 8
1 1 2, 41.19, 9
1 1 -3, 44.76, 10
1 2 -2, 51.51, 12
1 2 2, 52.75, 11
0 2 4, 53.21, 13

Atomic structure:
```
data_VO2
_symmetry_space_group_name_H-M 'P 1 21/c 1'
_symmetry_Int_Tables_number 14
_symmetry_space_group_name_Hall '-P 2ybc'
_cell_length_a 2.9325
_cell_length_b 4.9197
_cell_length_c 9.6530
_cell_angle_alpha 90.00
_cell_angle_beta 92.91
_cell_angle_gamma 90.00
loop_
_atom_site_label
_atom_site_fract_x
_atom_site_fract_y
_atom_site_fract_z
V1 0.2279 0.0386 0.3641
O1 0.2315 0.1589 0.7273
O2 0.2619 0.7005 0.0355
```


3.
Structure and theoretical X-ray diffraction stick pattern of V2O5 (a PBE+U-relaxed structure; Cu Kα, 1.54184 Å).
Peak positions follow from Bragg's law for the DFT cell and can differ from measured ones.

Main lines, in order of rising 2θ (5° ≤ 2θ ≤ 70°):
index, 2θ/deg, I (rel.)
0 0 1, 14.00, 100
0 2 0, 15.52, 9
0 1 1, 16.02, 23
1 1 0, 25.72, 22
0 3 1, 27.35, 15
0 0 2, 28.22, 9
1 0 1, 28.32, 14
1 1 1, 29.38, 10
0 4 0, 31.33, 9
1 3 0, 34.11, 8
1 4 1, 42.74, 7
0 6 1, 50.03, 8

Atomic structure:
```
data_V2O5
_symmetry_space_group_name_H-M 'P m m n'
_symmetry_Int_Tables_number 59
_cell_length_a 3.6347
_cell_length_b 11.4193
_cell_length_c 6.3249
_cell_angle_alpha 90.00
_cell_angle_beta 90.00
_cell_angle_gamma 90.00
loop_
_symmetry_equiv_pos_as_xyz
'x,y,z'
'-x,-y,-z'
'-x+1/2,-y+1/2,z'
'x+1/2,y+1/2,-z'
'x+1/2,-y,-z'
'-x+1/2,y,z'
'-x,y+1/2,-z'
'x,-y+1/2,z'
loop_
_atom_site_label
_atom_site_fract_x
_atom_site_fract_y
_atom_site_fract_z
V1 0.2500 0.1011 0.0840
O1 0.2500 0.1102 0.3369
O2 0.2500 0.2500 0.9849
O3 0.2500 0.5684 0.9914
```


4.
Structure and theoretical X-ray diffraction stick pattern of VO2 (a PBE+U-relaxed structure; Cu Kα, 1.54184 Å).
Peak positions follow from Bragg's law for the DFT cell and can differ from measured ones.

Main lines, in order of rising 2θ (5° ≤ 2θ ≤ 70°):
index, 2θ/deg, I (rel.)
0 2 0, 16.83, 20
0 2 1, 19.65, 81
0 0 2, 20.22, 100
0 4 0, 34.03, 28
0 2 3, 35.06, 32
1 2 1, 35.79, 65
1 0 2, 36.12, 22
1 4 2, 50.47, 29
1 0 4, 51.48, 26
2 0 0, 61.47, 15
1 6 1, 62.05, 15
1 4 4, 63.15, 27

Atomic structure:
```
data_VO2
_symmetry_space_group_name_H-M 'P m c 21'
_symmetry_Int_Tables_number 26
_symmetry_space_group_name_Hall 'P 2c -2'
_cell_length_a 3.0167
_cell_length_b 10.5382
_cell_length_c 8.7830
_cell_angle_alpha 90.00
_cell_angle_beta 90.00
_cell_angle_gamma 90.00
loop_
_atom_site_label
_atom_site_fract_x
_atom_site_fract_y
_atom_site_fract_z
V1 0.0000 0.1315 0.0000
V2 0.0000 0.3559 0.4812
V3 0.5000 0.1491 0.6359
V4 0.5000 0.3619 0.1176
O1 0.0000 0.0328 0.5813
O2 0.0000 0.2701 0.6704
O3 0.0000 0.3206 0.9846
O4 0.0000 0.3904 0.2663
O5 0.5000 0.1149 0.8508
O6 0.5000 0.1781 0.1321
O7 0.5000 0.2309 0.4478
O8 0.5000 0.4665 0.5328
```


5.
Structure and theoretical X-ray diffraction stick pattern of V2O3 (a PBE+U-relaxed structure; Cu Kα, 1.54184 Å).
Peak positions follow from Bragg's law for the DFT cell and can differ from measured ones.

Main lines, in order of rising 2θ (5° ≤ 2θ ≤ 70°):
index, 2θ/deg, I (rel.)
0 1 -2, 29.11, 40
0 2 -1, 31.20, 100
1 0 1, 32.05, 43
1 1 -1, 32.47, 44
0 2 2, 33.13, 75
1 -1 0, 35.14, 39
1 1 2, 37.24, 57
1 0 -2, 37.67, 53
1 2 3, 48.45, 39
1 -1 3, 53.21, 42
1 2 -3, 54.04, 41
2 1 0, 59.41, 44

Atomic structure:
```
data_V2O3
_symmetry_space_group_name_H-M 'P 1'
_symmetry_Int_Tables_number 1
_symmetry_space_group_name_Hall 'P 1'
_cell_length_a 3.1116
_cell_length_b 6.8687
_cell_length_c 7.6142
_cell_angle_alpha 81.01
_cell_angle_beta 89.28
_cell_angle_gamma 77.32
loop_
_atom_site_label
_atom_site_fract_x
_atom_site_fract_y
_atom_site_fract_z
V1 0.0000 0.0000 0.0000
V2 0.0231 0.9337 0.6374
V3 0.3366 0.3380 0.6245
V4 0.3606 0.2629 0.2633
V5 0.6324 0.6975 0.3172
V6 0.7081 0.5649 0.9518
O1 0.1308 0.7341 0.4734
O2 0.1572 0.6341 0.1346
O3 0.2590 0.5114 0.8077
O4 0.4445 0.0810 0.5026
O5 0.5029 0.9799 0.1701
O6 0.5866 0.8612 0.8409
O7 0.7945 0.4009 0.4203
O8 0.8562 0.2808 0.0955
O9 0.9125 0.1843 0.7605
```


> Number 4 is which compound?

VO2